The following is a simulated X-ray powder pattern of EuAl3Ag2. It was derived from the PBE geometry in the Materials Project, using Cu Kα.
Neutral-atom scattering factors, no anomalous dispersion.

Crystal structure
```
6
Lattice="5.594 0.000 0.000 -2.797 4.845 0.000 0.000 0.000 4.417" Properties=species:S:1:pos:R:3 pbc="T T T"
Eu 0.000 0.000 0.000
Al -1.399 2.422 2.209
Al 2.797 0.000 2.209
Al 1.399 2.422 2.209
Ag 0.000 3.230 0.000
Ag 2.797 1.615 0.000
```

Top 6 peaks for 10 to 90 degrees two-theta, most intense first:
d [Å]	2θ (°)	Rel. int.
2.363	38.08	100
2.797	32.00	60
4.417	20.10	44
1.733	52.81	28
1.303	72.53	25
1.517	61.10	24

The following is a simulated X-ray powder pattern of Ce4B2N5. It was derived from the PBE geometry in the Materials Project, using Cu Kα.
Neutral-atom scattering factors, no anomalous dispersion.

Crystal structure
```
11
Lattice="6.068 -1.773 0.000 6.068 1.773 0.000 -5.668 0.000 6.888" Properties=species:S:1:pos:R:3 pbc="T T T"
Ce -1.065 0.000 2.396
Ce -1.235 0.000 6.111
Ce 7.703 0.000 0.777
Ce 7.533 0.000 4.492
B 2.776 0.000 2.689
B 3.691 0.000 4.198
N 0.000 0.000 0.000
N 1.290 0.000 2.732
N 3.480 0.000 1.369
N 2.988 0.000 5.518
N 5.178 0.000 4.155
```

Top 6 peaks for 10 to 90 degrees two-theta, most intense first:
d [Å]	2θ (°)	Rel. int.
2.713	33.01	100
2.635	34.02	90
3.071	29.07	67
3.029	29.49	62
2.922	30.60	60
1.803	50.63	43

The following is a simulated X-ray powder pattern of Ca2MgPd2. It was derived from the PBE geometry in the Materials Project, using Cu Kα.
Neutral-atom scattering factors, no anomalous dispersion.

Crystal structure
```
10
Lattice="4.330 0.000 0.000 0.000 5.933 0.000 0.000 0.000 8.991" Properties=species:S:1:pos:R:3 pbc="T T T"
Ca 0.000 0.000 1.790
Ca 0.000 0.000 7.201
Ca 2.165 2.966 2.706
Ca 2.165 2.966 6.285
Mg 0.000 2.966 0.000
Mg 2.165 0.000 4.496
Pd 0.000 1.567 4.496
Pd 0.000 4.366 4.496
Pd 2.165 1.399 0.000
Pd 2.165 4.533 0.000
```

Top 6 peaks for 10 to 90 degrees two-theta, most intense first:
d [Å]	2θ (°)	Rel. int.
2.361	38.11	100
3.901	22.79	73
4.496	19.75	58
2.464	36.46	54
2.476	36.28	53
1.449	64.28	30

The following is a simulated X-ray powder pattern of TaTe4Ir. It was derived from the PBE geometry in the Materials Project, using Cu Kα.
Neutral-atom scattering factors, no anomalous dispersion.

Crystal structure
```
24
Lattice="3.838 0.000 0.000 0.000 12.633 0.000 0.000 0.000 14.047" Properties=species:S:1:pos:R:3 pbc="T T T"
Ta 0.000 0.683 0.000
Ta 0.000 3.431 6.853
Ta 1.919 9.202 13.877
Ta 1.919 11.950 7.023
Te 0.000 0.835 5.520
Te 0.000 2.456 12.051
Te 0.000 4.357 1.226
Te 0.000 5.234 8.817
Te 0.000 7.132 5.597
Te 0.000 8.550 11.965
Te 0.000 10.715 1.351
Te 0.000 11.300 8.939
Te 1.919 1.333 1.915
Te 1.919 1.918 8.375
Te 1.919 4.083 4.942
Te 1.919 5.502 12.621
Te 1.919 7.399 1.794
Te 1.919 8.276 8.250
Te 1.919 10.177 5.028
Te 1.919 11.798 12.544
Ir 0.000 6.757 14.001
Ir 0.000 9.530 6.873
Ir 1.919 3.103 13.896
Ir 1.919 5.876 6.977
```

Top 6 peaks for 10 to 90 degrees two-theta, most intense first:
d [Å]	2θ (°)	Rel. int.
7.023	12.60	100
2.686	33.35	56
2.972	30.07	53
2.134	42.36	32
1.919	47.37	17
2.304	39.10	16

The following is a simulated X-ray powder pattern of TmH3O3. It was derived from the PBE geometry in the Materials Project, using Cu Kα.
Neutral-atom scattering factors, no anomalous dispersion.

Crystal structure
```
28
Lattice="5.321 0.000 0.000 0.000 10.238 0.000 -0.622 0.000 6.177" Properties=species:S:1:pos:R:3 pbc="T T T"
Tm -0.236 1.743 2.842
Tm -0.547 3.377 5.930
Tm 5.246 6.862 0.247
Tm 4.935 8.496 3.335
H 0.780 0.258 4.976
H 1.091 4.861 1.888
H 1.201 6.264 4.513
H 1.512 9.093 1.425
H 2.078 1.978 1.158
H 1.767 3.141 4.246
H 2.932 7.098 1.931
H 2.621 8.260 5.019
H 3.187 1.145 4.752
H 3.498 3.974 1.663
H 3.608 5.377 4.289
H 3.919 9.980 1.200
O 0.703 0.070 4.025
O 1.014 5.049 0.937
O 0.718 7.098 4.662
O 1.029 8.259 1.574
O 1.112 1.855 1.051
O 0.801 3.264 4.139
O 3.898 6.974 2.037
O 3.587 8.383 5.125
O 3.669 1.979 4.602
O 3.980 3.140 1.514
O 3.685 5.189 5.240
O 3.996 10.168 2.152
```

Top 6 peaks for 10 to 90 degrees two-theta, most intense first:
d [Å]	2θ (°)	Rel. int.
5.292	16.75	100
2.549	35.21	30
2.987	29.91	23
5.119	17.32	19
3.680	24.18	15
3.913	22.72	14

The following is a simulated X-ray powder pattern of CeSe2. It was derived from the PBE geometry in the Materials Project, using Cu Kα.
Neutral-atom scattering factors, no anomalous dispersion.

Crystal structure
```
12
Lattice="0.000 6.069 6.069 6.069 0.000 6.069 6.069 6.069 0.000" Properties=species:S:1:pos:R:3 pbc="T T T"
Ce 0.000 0.000 0.000
Ce 3.034 3.034 0.000
Ce 3.034 0.000 3.034
Ce 0.000 3.034 3.034
Se 9.259 5.913 5.913
Se 2.878 2.878 2.878
Se 6.225 6.225 2.878
Se 6.225 2.878 6.225
Se 5.913 9.259 5.913
Se 5.913 5.913 9.259
Se 9.259 9.259 9.259
Se 2.878 6.225 6.225
```

Top 6 peaks for 10 to 90 degrees two-theta, most intense first:
d [Å]	2θ (°)	Rel. int.
3.034	29.44	100
7.008	12.63	92
2.146	42.11	71
3.660	24.32	30
2.336	38.54	29
1.357	69.24	27

The following is a simulated X-ray powder pattern of Ca7NbSi2N9. It was derived from the PBE geometry in the Materials Project, using Cu Kα.
Neutral-atom scattering factors, no anomalous dispersion.

Crystal structure
```
38
Lattice="6.066 0.000 0.000 0.000 9.965 0.000 -0.310 0.000 9.019" Properties=species:S:1:pos:R:3 pbc="T T T"
Ca 0.367 0.567 1.494
Ca 0.367 4.416 1.494
Ca 1.365 5.754 4.463
Ca 1.365 9.193 4.463
Ca 2.234 7.474 7.226
Ca 2.352 0.776 7.494
Ca 2.352 4.206 7.494
Ca 3.404 5.759 1.525
Ca 3.404 9.189 1.525
Ca 3.521 2.491 1.793
Ca 4.391 0.772 4.556
Ca 4.391 4.211 4.556
Ca 5.388 5.550 7.525
Ca 5.388 9.398 7.525
Nb 1.204 2.491 3.951
Nb 4.551 7.474 5.068
Si 0.025 2.491 6.515
Si 1.052 7.474 0.560
Si 4.704 2.491 8.459
Si 5.731 7.474 2.504
N 0.143 7.474 6.019
N 0.443 2.491 8.264
N 0.616 1.090 5.692
N 0.616 3.892 5.692
N 1.458 7.474 2.336
N 1.319 5.985 8.855
N 1.319 8.963 8.855
N 2.233 0.976 3.083
N 2.233 4.006 3.083
N 3.523 5.959 5.936
N 3.523 8.989 5.936
N 4.437 1.002 0.164
N 4.437 3.980 0.164
N 4.297 2.491 6.683
N 5.139 6.073 3.327
N 5.139 8.875 3.327
N 5.313 7.474 0.755
N 5.612 2.491 3.000
```

Top 6 peaks for 10 to 90 degrees two-theta, most intense first:
d [Å]	2θ (°)	Rel. int.
2.466	36.44	100
2.759	32.45	76
2.477	36.27	56
2.902	30.81	42
4.435	20.02	28
1.726	53.05	24

The following is a simulated X-ray powder pattern of Sr2TbNbO6. It was derived from the PBE geometry in the Materials Project, using Cu Kα.
Neutral-atom scattering factors, no anomalous dispersion.

Crystal structure
```
40
Lattice="8.390 0.000 0.000 0.000 8.390 0.000 0.000 0.000 8.390" Properties=species:S:1:pos:R:3 pbc="T T T"
Sr 2.097 2.097 2.097
Sr 2.097 2.097 6.292
Sr 2.097 6.292 2.097
Sr 2.097 6.292 6.292
Sr 6.292 2.097 2.097
Sr 6.292 2.097 6.292
Sr 6.292 6.292 2.097
Sr 6.292 6.292 6.292
Tb 0.000 0.000 0.000
Tb 0.000 4.195 4.195
Tb 4.195 0.000 4.195
Tb 4.195 4.195 0.000
Nb 0.000 0.000 4.195
Nb 0.000 4.195 0.000
Nb 4.195 0.000 0.000
Nb 4.195 4.195 4.195
O 0.273 4.528 6.412
O 0.273 8.057 6.172
O 0.333 1.977 4.468
O 0.333 2.217 8.116
O 1.977 4.468 0.333
O 1.977 8.116 3.862
O 2.217 4.468 3.862
O 2.217 8.116 0.333
O 3.862 1.977 8.116
O 3.862 2.217 4.468
O 3.922 4.528 6.172
O 3.922 8.057 6.412
O 4.468 0.333 1.977
O 4.468 3.862 2.217
O 4.528 6.172 3.922
O 4.528 6.412 0.273
O 6.172 0.273 8.057
O 6.172 3.922 4.528
O 6.412 0.273 4.528
O 6.412 3.922 8.057
O 8.057 6.172 0.273
O 8.057 6.412 3.922
O 8.116 0.333 2.217
O 8.116 3.862 1.977
```

Top 6 peaks for 10 to 90 degrees two-theta, most intense first:
d [Å]	2θ (°)	Rel. int.
2.966	30.13	100
1.713	53.51	44
2.097	43.13	29
1.121	86.89	23
1.327	71.06	18
1.483	62.64	17